[1]
Starting from DFT lattice parameters and positions (GGA-PBE), the powder diffraction line list of Ta4Re9 was simulated for Cu Kα X-rays.
Lines closer than 0.1° are merged.

Structural model:
```
data_Ta4Re9
_cell_length_a 5.1440
_cell_length_b 5.1440
_cell_length_c 27.6028
_cell_angle_alpha 90.00
_cell_angle_beta 90.00
_cell_angle_gamma 120.00
_space_group_name_H-M_alt 'R -3 m'
_space_group_IT_number 166
_space_group_name_Hall '-R 3 2"'
loop_
_atom_site_label
_atom_site_type_symbol
_atom_site_fract_x
_atom_site_fract_y
_atom_site_fract_z
_atom_site_occupancy
Ta1 Ta 0.0000 0.0000 0.1535 1
Ta2 Ta 0.0000 0.0000 0.3344 1
Re1 Re 0.0000 0.0000 0.0456 1
Re2 Re 0.0000 0.0000 0.5000 1
Re3 Re 0.0047 0.5024 0.9120 1
```

Most intense lines, 5° ≤ 2θ ≤ 70°, sorted by position:
| 2θ (°) | intensity |
| --- | --- |
| 34.88 | 43.9 |
| 38.36 | 42.0 |
| 39.16 | 26.8 |
| 40.17 | 100.0 |
| 40.64 | 45.8 |
| 41.29 | 49.2 |
| 43.83 | 48.1 |
| 46.84 | 25.8 |

[2]
Starting from DFT lattice parameters and positions (GGA-PBE), the powder diffraction line list of TaRe5 was simulated for Cu Kα X-rays.
Lines closer than 0.1° are merged.

Structural model:
```
data_TaRe5
_cell_length_a 5.1289
_cell_length_b 5.1289
_cell_length_c 16.7694
_cell_angle_alpha 90.00
_cell_angle_beta 90.00
_cell_angle_gamma 120.00
_space_group_name_H-M_alt 'P 63/m m c'
_space_group_IT_number 194
_space_group_name_Hall '-P 6c 2c'
loop_
_atom_site_label
_atom_site_type_symbol
_atom_site_fract_x
_atom_site_fract_y
_atom_site_fract_z
_atom_site_occupancy
Ta1 Ta 0.3333 0.6667 0.1540 1
Re1 Re 0.0000 0.0000 0.0863 1
Re2 Re 0.0000 0.5000 0.0000 1
Re3 Re 0.1603 0.3206 0.7500 1
Re4 Re 0.3333 0.6667 0.6277 1
```

Most intense lines, 5° ≤ 2θ ≤ 70°, sorted by position:
| 2θ (°) | intensity |
| --- | --- |
| 34.99 | 28.6 |
| 38.04 | 61.4 |
| 41.27 | 100.0 |
| 42.09 | 74.2 |
| 43.16 | 19.1 |
| 43.87 | 21.9 |
| 64.78 | 21.7 |
| 67.02 | 29.2 |

[3]
Starting from DFT lattice parameters and positions (GGA-PBE), the powder diffraction line list of Zr2Re3Tc was simulated for Cu Kα X-rays.
Lines closer than 0.1° are merged.

Structural model:
```
data_Zr2Re3Tc
_cell_length_a 5.2550
_cell_length_b 5.2550
_cell_length_c 8.7616
_cell_angle_alpha 90.00
_cell_angle_beta 90.00
_cell_angle_gamma 120.00
_space_group_name_H-M_alt 'P 63/m m c'
_space_group_IT_number 194
_space_group_name_Hall '-P 6c 2c'
loop_
_atom_site_label
_atom_site_type_symbol
_atom_site_fract_x
_atom_site_fract_y
_atom_site_fract_z
_atom_site_occupancy
Zr1 Zr 0.3333 0.6667 0.0630 1
Re1 Re 0.1710 0.3421 0.7500 1
Tc1 Tc 0.0000 0.0000 0.0000 1
```

Most intense lines, 5° ≤ 2θ ≤ 70°, sorted by position:
| 2θ (°) | intensity |
| --- | --- |
| 20.27 | 33.9 |
| 36.56 | 48.1 |
| 40.01 | 63.0 |
| 40.98 | 100.0 |
| 41.21 | 23.9 |
| 44.89 | 25.7 |
| 50.87 | 20.3 |
| 67.46 | 30.8 |